No. 1
The following is a calculated powder diffraction line list of Cu5Ag2. It was derived from a GGA-PBE-relaxed structure, using a wavelength of 1.5418 Å.

Main lines, low angle first (10° ≤ 2θ ≤ 80°):
34.25 deg, 2.618 Å, I = 4.6
35.92 deg, 2.500 Å, I = 4.1
37.24 deg, 2.415 Å, I = 17.1
41.37 deg, 2.183 Å, I = 100.0
43.43 deg, 2.084 Å, I = 5.9
46.40 deg, 1.957 Å, I = 5.7
46.58 deg, 1.950 Å, I = 42.7
51.15 deg, 1.786 Å, I = 6.6
65.57 deg, 1.424 Å, I = 6.5
67.99 deg, 1.379 Å, I = 12.7
71.66 deg, 1.317 Å, I = 8.9
78.42 deg, 1.219 Å, I = 5.1

Atomic structure:
abc: 12.6522 12.6522 12.6522
angles: 167.49 167.49 17.73
Fractional positions:
Cu 0.0000 0.0000 0.0000
Cu 0.1277 0.1277 0.0000
Cu 0.4361 0.4361 0.0000
Cu 0.5639 0.5639 0.0000
Cu 0.8723 0.8723 0.0000
Ag 0.2949 0.2949 0.0000
Ag 0.7051 0.7051 0.0000

---

No. 2
The following is a calculated powder diffraction line list of CuAg9. It was derived from a GGA-PBE-relaxed structure, using a wavelength of 1.5418 Å.

Main lines, low angle first (10° ≤ 2θ ≤ 80°):
37.91 deg, 2.374 Å, I = 100.0
43.97 deg, 2.059 Å, I = 32.3
44.23 deg, 2.048 Å, I = 15.8
63.93 deg, 1.456 Å, I = 9.9
64.11 deg, 1.453 Å, I = 14.7
64.21 deg, 1.451 Å, I = 4.9
76.70 deg, 1.242 Å, I = 2.9
76.79 deg, 1.241 Å, I = 17.3
76.89 deg, 1.240 Å, I = 2.9
77.17 deg, 1.236 Å, I = 11.2

Atomic structure:
abc: 5.0384 5.8286 6.4791
angles: 102.93 97.19 106.90
Fractional positions:
Cu 0.0000 0.0000 0.0000
Ag 0.0000 0.5000 0.0000
Ag 0.1979 0.3955 0.3940
Ag 0.1996 0.9007 0.3935
Ag 0.3917 0.2957 0.8018
Ag 0.3999 0.8028 0.8032
Ag 0.6001 0.1972 0.1968
Ag 0.6083 0.7043 0.1982
Ag 0.8004 0.0993 0.6065
Ag 0.8021 0.6045 0.6060

---

No. 3
The following is a calculated powder diffraction line list of Cu4Ag5. It was derived from a GGA-PBE-relaxed structure, using a wavelength of 1.5418 Å.

Main lines, low angle first (10° ≤ 2θ ≤ 80°):
21.64 deg, 4.107 Å, I = 2.0
23.01 deg, 3.865 Å, I = 2.5
27.61 deg, 3.230 Å, I = 2.9
39.57 deg, 2.278 Å, I = 100.0
39.75 deg, 2.268 Å, I = 33.2
45.79 deg, 1.981 Å, I = 21.5
46.20 deg, 1.965 Å, I = 41.8
66.89 deg, 1.399 Å, I = 6.4
67.02 deg, 1.396 Å, I = 6.4
67.21 deg, 1.393 Å, I = 12.7
67.29 deg, 1.391 Å, I = 6.7
67.52 deg, 1.387 Å, I = 6.4

Atomic structure:
abc: 4.8232 4.8314 7.3391
angles: 70.91 89.86 60.29
Fractional positions:
Cu 0.0000 0.0000 0.0000
Cu 0.0997 0.4597 0.3287
Cu 0.4391 0.7796 0.3286
Cu 0.8799 0.5570 0.6561
Ag 0.2156 0.9055 0.6575
Ag 0.3154 0.3371 0.9998
Ag 0.5464 0.2410 0.6562
Ag 0.6627 0.6709 0.0005
Ag 0.7794 0.0983 0.3280

---

No. 4
The following is a calculated powder diffraction line list of Cu4Ag5. It was derived from a GGA-PBE-relaxed structure, using a wavelength of 1.5418 Å.

Main lines, low angle first (10° ≤ 2θ ≤ 80°):
33.91 deg, 2.644 Å, I = 8.0
36.80 deg, 2.442 Å, I = 8.1
37.91 deg, 2.374 Å, I = 8.3
39.24 deg, 2.296 Å, I = 91.6
40.28 deg, 2.239 Å, I = 100.0
44.45 deg, 2.038 Å, I = 66.7
49.68 deg, 1.835 Å, I = 23.3
63.20 deg, 1.471 Å, I = 6.6
66.14 deg, 1.413 Å, I = 11.1
68.85 deg, 1.364 Å, I = 31.2
77.65 deg, 1.230 Å, I = 15.5
79.69 deg, 1.203 Å, I = 20.8

Atomic structure:
abc: 5.8699 5.8699 8.8278
angles: 104.48 104.48 27.85
Fractional positions:
Cu 0.0000 0.0000 0.0000
Cu 0.0024 0.0024 0.7068
Cu 0.3273 0.3273 0.0815
Cu 0.6559 0.6559 0.8995
Ag 0.3257 0.3257 0.7891
Ag 0.3421 0.3421 0.4743
Ag 0.6412 0.6412 0.5593
Ag 0.6781 0.6781 0.2154
Ag 0.9833 0.9833 0.3019

---

No. 5
The following is a calculated powder diffraction line list of Cu3Ag2. It was derived from a GGA-PBE-relaxed structure, using a wavelength of 1.5418 Å.

Main lines, low angle first (10° ≤ 2θ ≤ 80°):
16.48 deg, 5.378 Å, I = 2.4
28.67 deg, 3.114 Å, I = 7.7
33.89 deg, 2.645 Å, I = 3.8
40.46 deg, 2.229 Å, I = 99.9
40.64 deg, 2.220 Å, I = 100.0
46.64 deg, 1.948 Å, I = 32.5
47.15 deg, 1.927 Å, I = 30.7
47.73 deg, 1.906 Å, I = 31.1
68.24 deg, 1.374 Å, I = 8.9
68.74 deg, 1.366 Å, I = 9.3
68.95 deg, 1.362 Å, I = 19.2
69.35 deg, 1.355 Å, I = 17.9

Atomic structure:
abc: 7.2349 7.2349 5.4975
angles: 101.53 101.53 30.54
Fractional positions:
Cu 0.0000 0.0000 0.0000
Cu 0.0014 0.0014 0.5414
Cu 0.2010 0.2010 0.6171
Cu 0.4052 0.4052 0.7154
Cu 0.5924 0.5924 0.8122
Cu 0.8056 0.8056 0.4288
Ag 0.1971 0.1971 0.1110
Ag 0.4040 0.4040 0.2279
Ag 0.6019 0.6019 0.3331
Ag 0.8007 0.8007 0.8986

---

No. 6
The following is a calculated powder diffraction line list of Cu5Ag3. It was derived from a GGA-PBE-relaxed structure, using a wavelength of 1.5418 Å.

Main lines, low angle first (10° ≤ 2θ ≤ 80°):
23.80 deg, 3.738 Å, I = 2.9
25.82 deg, 3.451 Å, I = 9.3
29.33 deg, 3.045 Å, I = 2.4
33.17 deg, 2.701 Å, I = 4.8
40.68 deg, 2.218 Å, I = 99.1
40.87 deg, 2.208 Å, I = 100.0
45.95 deg, 1.975 Å, I = 68.6
50.31 deg, 1.814 Å, I = 26.5
58.68 deg, 1.573 Å, I = 2.9
66.73 deg, 1.402 Å, I = 9.7
67.29 deg, 1.391 Å, I = 10.4
70.49 deg, 1.336 Å, I = 35.1

Atomic structure:
abc: 2.7830 3.6271 11.2140
angles: 90.00 90.00 90.00
Fractional positions:
Cu 0.0000 0.0000 0.0000
Cu 0.0000 0.0000 0.2608
Cu 0.0000 0.0000 0.7392
Cu 0.5000 0.5000 0.3697
Cu 0.5000 0.5000 0.6303
Ag 0.0000 0.0000 0.5000
Ag 0.5000 0.5000 0.1298
Ag 0.5000 0.5000 0.8702